# Zr2OsRu
Calculated powder diffractogram, Cu Kα (weighted mean of Kα1 and Kα2). Input: a structure optimized by DFT (GGA-PBE).
Intensities are scaled so that the largest is 100.

Cell and atoms:
Lattice parameters (Å, degrees): 6.5748 6.5748 6.5748 90.00 90.00 90.00
Space group Fm-3m (No. 225)
One atom of each set of equivalent atoms:
Zr 0.2500 0.2500 0.2500
Os 0.0000 0.0000 0.0000
Ru 0.0000 0.0000 0.5000

Principal peaks in the range 5° ≤ 2θ ≤ 70°, sorted by position:
d_spacing  2θ/deg  I/Imax  index
3.796  23.44  7  1 1 1
3.287  27.13  6  2 0 0
2.325  38.74  100  2 2 0
1.982  45.77  4  3 1 1
1.898  47.93  2  2 2 2
1.644  55.94  17  4 0 0
1.508  61.47  2  3 3 1
1.470  63.25  2  4 2 0